Diffraction record for Sr2AlFeCu2O7. The PXRD pattern is simulated, not measured: it uses a PBE+U-relaxed structure and copper Kα.
Peak positions follow from Bragg's law for the DFT cell and can differ from measured ones.

The 10 most intense peaks (10 to 90 degrees two-theta), sorted by position:
two_theta  Rel. int.
28.1  40
33.1  100
33.8  37
38.8  28
39.1  28
48.1  31
51.9  12
52.4  12
60.0  13
63.4  15

Structure:
```
data_Sr2AlFeCu2O7
_space_group_name_H-M_alt 'P 1'
_space_group_IT_number 1
_cell_length_a 12.2130
_cell_length_b 12.2130
_cell_length_c 5.4005
_cell_angle_alpha 102.77
_cell_angle_beta 102.77
_cell_angle_gamma 25.10
loop_
_space_group_symop_operation_xyz
'x,y,z'
loop_
_atom_site_label
_atom_site_type_symbol
_atom_site_fract_x
_atom_site_fract_y
_atom_site_fract_z
Sr1 Sr 0.1489 0.1489 0.1341
Sr2 Sr 0.3512 0.3511 0.3364
Sr3 Sr 0.6489 0.6488 0.6636
Sr4 Sr 0.8511 0.8511 0.8659
Al1 Al 0.4915 0.5085 0.5000
Al2 Al 0.9907 0.0093 0.0000
Fe1 Fe 0.2917 0.2083 0.6834
Fe2 Fe 0.7917 0.7083 0.3166
Cu1 Cu 0.0492 0.0679 0.5571
Cu2 Cu 0.4320 0.4510 0.9406
Cu3 Cu 0.5490 0.5680 0.0594
Cu4 Cu 0.9321 0.9508 0.4429
O1 O 0.1112 0.7796 0.7696
O2 O 0.1517 0.1942 0.7044
O3 O 0.1587 0.3413 0.3484
O4 O 0.2204 0.8888 0.2304
O5 O 0.2592 0.6336 0.2687
O6 O 0.3057 0.3483 0.8585
O7 O 0.3664 0.7408 0.7313
O8 O 0.6113 0.2795 0.6217
O9 O 0.6517 0.6943 0.1415
O10 O 0.6587 0.8413 0.6516
O11 O 0.7205 0.3887 0.3783
O12 O 0.7590 0.1336 0.1245
O13 O 0.8058 0.8483 0.2956
O14 O 0.8664 0.2410 0.8755
```